Record 1
Theoretical powder XRD pattern
Compound: Er7Cu3Te12
Radiation: Cu Kα (weighted mean of Kα1 and Kα2)
Structure: a cell relaxed with PBE

Main lines, in order of rising 2θ (15 to 90 degrees two-theta):
- 2θ = 28.05°, 3.181 Å, rel. 51
- 2θ = 28.17°, 3.168 Å, rel. 100
- 2θ = 32.08°, 2.790 Å, rel. 26
- 2θ = 36.77°, 2.445 Å, rel. 20
- 2θ = 38.57°, 2.334 Å, rel. 20
- 2θ = 41.72°, 2.165 Å, rel. 56
- 2θ = 42.17°, 2.143 Å, rel. 27
- 2θ = 43.74°, 2.069 Å, rel. 20
- 2θ = 44.02°, 2.057 Å, rel. 30
- 2θ = 51.41°, 1.777 Å, rel. 19

Structural model:
```
Er7Cu3Te12
1.0
3.7623 -6.4289 0.0000
3.7623 6.4289 0.0000
-2.4461 0.0000 14.0054
Er Cu Te
7 3 12
Direct
0.0000 0.0000 0.0000
0.1680 0.1680 0.4964
0.3352 0.6675 0.0000
0.5006 0.8328 0.4963
0.5829 0.5829 0.7445
0.6675 0.3352 0.0000
0.8328 0.5006 0.4963
0.0642 0.7305 0.1891
0.3972 0.3972 0.1892
0.7305 0.0642 0.1891
0.0455 0.3788 0.1331
0.1257 0.7924 0.3742
0.2093 0.5437 0.6266
0.2911 0.2911 0.8745
0.3788 0.0455 0.1331
0.4583 0.4583 0.3733
0.5437 0.2093 0.6266
0.6257 0.9611 0.8747
0.7126 0.7126 0.1337
0.7924 0.1257 0.3742
0.8775 0.8775 0.6269
0.9611 0.6257 0.8747
```

Record 2
Theoretical powder XRD pattern
Compound: NbSb3O8
Radiation: Cu Kα (weighted mean of Kα1 and Kα2)
Structure: a cell relaxed with PBE

Main lines, in order of rising 2θ (15 to 90 degrees two-theta):
- 2θ = 19.33°, 4.591 Å, rel. 9
- 2θ = 25.10°, 3.548 Å, rel. 31
- 2θ = 28.28°, 3.156 Å, rel. 100
- 2θ = 29.90°, 2.989 Å, rel. 28
- 2θ = 32.92°, 2.721 Å, rel. 16
- 2θ = 35.45°, 2.532 Å, rel. 9
- 2θ = 36.13°, 2.486 Å, rel. 10
- 2θ = 47.58°, 1.911 Å, rel. 16
- 2θ = 49.66°, 1.836 Å, rel. 10
- 2θ = 52.09°, 1.756 Å, rel. 20

Structural model:
```
NbSb3O8
1.0
4.9723 0.0000 0.0000
-0.0080 5.5915 0.0000
-0.0027 -0.0465 23.9082
Nb Sb O
4 12 32
Direct
0.0000 0.0000 0.0000
0.0038 0.7562 0.2494
0.4891 0.2567 0.2493
0.9950 0.7380 0.7501
0.0416 0.3448 0.3744
0.0437 0.3416 0.8734
0.4524 0.8439 0.8745
0.4526 0.8456 0.3744
0.4927 0.2378 0.7480
0.4971 0.5017 0.4993
0.5023 0.4998 0.9981
0.5411 0.8933 0.6239
0.5439 0.8981 0.1246
0.9476 0.3961 0.1234
0.9546 0.3982 0.6240
0.9968 0.0018 0.4995
0.1582 0.6858 0.8261
0.1599 0.0220 0.4201
0.1619 0.6835 0.3259
0.1641 0.0222 0.9194
0.2003 0.4394 0.2202
0.2060 0.4500 0.7194
0.2071 0.7247 0.5274
0.2110 0.7270 0.0232
0.2851 0.2289 0.0254
0.2870 0.2247 0.5275
0.2932 0.9481 0.7208
0.2945 0.9388 0.2200
0.3315 0.5212 0.9198
0.3325 0.1831 0.3260
0.3343 0.5219 0.4200
0.3395 0.1852 0.8258
0.6541 0.5512 0.5757
0.6543 0.5535 0.0759
0.6645 0.2167 0.6693
0.6662 0.2160 0.1704
0.7012 0.7896 0.9709
0.7031 0.7875 0.4687
0.7097 0.5094 0.7754
0.7130 0.5042 0.2740
0.7817 0.0040 0.2739
0.7839 0.0116 0.7733
0.7887 0.2875 0.9694
0.7911 0.2873 0.4687
0.8277 0.7159 0.1698
0.8293 0.7158 0.6696
0.8372 0.0529 0.0759
0.8397 0.0511 0.5761
```

Record 3
Theoretical powder XRD pattern
Compound: SrLa2S4
Radiation: Cu Kα (weighted mean of Kα1 and Kα2)
Structure: a cell relaxed with PBE

Main lines, in order of rising 2θ (15 to 90 degrees two-theta):
- 2θ = 24.75°, 3.597 Å, rel. 89
- 2θ = 32.12°, 2.787 Å, rel. 100
- 2θ = 38.22°, 2.355 Å, rel. 64
- 2θ = 46.03°, 1.972 Å, rel. 27
- 2θ = 48.46°, 1.879 Å, rel. 25
- 2θ = 52.95°, 1.729 Å, rel. 18
- 2θ = 53.05°, 1.726 Å, rel. 12
- 2θ = 65.22°, 1.430 Å, rel. 25
- 2θ = 65.38°, 1.427 Å, rel. 13
- 2θ = 79.94°, 1.200 Å, rel. 15

Structural model:
```
SrLa2S4
1.0
-4.4105 4.4105 4.3964
4.4105 -4.4105 4.3964
4.4105 4.4105 -4.3964
Sr La S
2 4 8
Direct
0.0000 0.0000 0.0000
0.7500 0.2500 0.5000
0.2465 0.6250 0.1215
0.3750 0.4965 0.6215
0.5035 0.1250 0.8785
0.8750 0.7535 0.3785
0.1322 0.7305 0.7490
0.1332 0.2315 0.7510
0.2695 0.0185 0.4018
0.4805 0.3822 0.2490
0.6168 0.8678 0.5982
0.6178 0.8668 0.0982
0.7685 0.5195 0.9018
0.9815 0.3832 0.2510
```

Record 4
Theoretical powder XRD pattern
Compound: MgSi2
Radiation: Cu Kα (weighted mean of Kα1 and Kα2)
Structure: a cell relaxed with PBE

Main lines, in order of rising 2θ (15 to 90 degrees two-theta):
- 2θ = 37.15°, 2.420 Å, rel. 61
- 2θ = 37.39°, 2.405 Å, rel. 66
- 2θ = 37.89°, 2.374 Å, rel. 18
- 2θ = 38.66°, 2.329 Å, rel. 41
- 2θ = 39.65°, 2.273 Å, rel. 56
- 2θ = 39.67°, 2.272 Å, rel. 100
- 2θ = 42.44°, 2.130 Å, rel. 18
- 2θ = 43.69°, 2.072 Å, rel. 18
- 2θ = 51.20°, 1.784 Å, rel. 40
- 2θ = 65.95°, 1.416 Å, rel. 16

Structural model:
```
MgSi2
1.0
5.0332 -1.7842 0.0000
5.0332 1.7842 0.0000
-2.8624 0.0000 11.4480
Mg Si
4 8
Direct
0.0000 0.0000 0.0000
0.0629 0.0629 0.4493
0.3345 0.3345 0.8088
0.6356 0.6356 0.2253
0.0440 0.0440 0.7625
0.2948 0.2948 0.0552
0.3489 0.3489 0.3341
0.4194 0.4194 0.6049
0.6643 0.6643 0.9057
0.6668 0.6668 0.6482
0.7894 0.7894 0.4810
0.9077 0.9077 0.1996
```

Record 5
Theoretical powder XRD pattern
Compound: Li2Pt
Radiation: Cu Kα (weighted mean of Kα1 and Kα2)
Structure: a cell relaxed with PBE

Main lines, in order of rising 2θ (15 to 90 degrees two-theta):
- 2θ = 24.70°, 3.605 Å, rel. 100
- 2θ = 32.94°, 2.719 Å, rel. 15
- 2θ = 41.60°, 2.171 Å, rel. 57
- 2θ = 43.48°, 2.081 Å, rel. 27
- 2θ = 50.64°, 1.802 Å, rel. 15
- 2θ = 55.61°, 1.653 Å, rel. 21
- 2θ = 61.75°, 1.502 Å, rel. 18
- 2θ = 68.92°, 1.363 Å, rel. 12
- 2θ = 74.60°, 1.272 Å, rel. 9
- 2θ = 78.52°, 1.218 Å, rel. 18

Structural model:
```
Li2Pt
1.0
4.1626 0.0000 0.0000
-2.0813 3.6049 0.0000
0.0000 0.0000 2.7192
Li Pt
2 1
Direct
0.3333 0.6667 0.0000
0.6667 0.3333 0.0000
0.0000 0.0000 0.5000
```

Record 6
Theoretical powder XRD pattern
Compound: NbO
Radiation: Cu Kα (weighted mean of Kα1 and Kα2)
Structure: a cell relaxed with PBE

Main lines, in order of rising 2θ (15 to 90 degrees two-theta):
- 2θ = 34.43°, 2.604 Å, rel. 100
- 2θ = 39.97°, 2.256 Å, rel. 99
- 2θ = 57.81°, 1.595 Å, rel. 63
- 2θ = 69.05°, 1.360 Å, rel. 42
- 2θ = 72.60°, 1.302 Å, rel. 20
- 2θ = 86.25°, 1.128 Å, rel. 9

Structural model:
```
NbO
1.0
0.0000 2.2555 2.2555
2.2555 0.0000 2.2555
2.2555 2.2555 0.0000
Nb O
1 1
Direct
0.0000 0.0000 0.0000
0.5000 0.5000 0.5000
```

Record 7
Theoretical powder XRD pattern
Compound: PtI2
Radiation: Cu Kα (weighted mean of Kα1 and Kα2)
Structure: a cell relaxed with PBE

Main lines, in order of rising 2θ (15 to 90 degrees two-theta):
- 2θ = 16.09°, 5.510 Å, rel. 100
- 2θ = 23.37°, 3.807 Å, rel. 17
- 2θ = 28.06°, 3.180 Å, rel. 70
- 2θ = 32.12°, 2.787 Å, rel. 9
- 2θ = 32.41°, 2.762 Å, rel. 27
- 2θ = 32.80°, 2.730 Å, rel. 11
- 2θ = 40.72°, 2.216 Å, rel. 11
- 2θ = 41.64°, 2.169 Å, rel. 11
- 2θ = 43.29°, 2.090 Å, rel. 27
- 2θ = 43.47°, 2.082 Å, rel. 35

Structural model:
```
PtI2
1.0
7.0602 0.0000 0.0000
0.0000 9.1339 0.0000
-1.5410 0.0000 6.9348
Pt I
4 8
Direct
0.2174 0.1312 0.4950
0.2174 0.3688 0.9950
0.7826 0.6312 0.0050
0.7826 0.8688 0.5050
0.0151 0.5721 0.7744
0.0151 0.9279 0.2744
0.4271 0.1802 0.2358
0.4271 0.3198 0.7358
0.5729 0.6802 0.2642
0.5729 0.8198 0.7642
0.9849 0.0721 0.7256
0.9849 0.4279 0.2256
```

Record 8
Theoretical powder XRD pattern
Compound: Ag2Se
Radiation: Cu Kα (weighted mean of Kα1 and Kα2)
Structure: a cell relaxed with PBE

Main lines, in order of rising 2θ (15 to 90 degrees two-theta):
- 2θ = 27.46°, 3.248 Å, rel. 70
- 2θ = 33.07°, 2.709 Å, rel. 100
- 2θ = 36.23°, 2.480 Å, rel. 57
- 2θ = 43.39°, 2.085 Å, rel. 67
- 2θ = 43.61°, 2.075 Å, rel. 55
- 2θ = 46.05°, 1.971 Å, rel. 33
- 2θ = 56.99°, 1.616 Å, rel. 13
- 2θ = 63.17°, 1.472 Å, rel. 14
- 2θ = 70.12°, 1.342 Å, rel. 22
- 2θ = 72.62°, 1.302 Å, rel. 14

Structural model:
```
Ag2Se
1.0
2.4797 -3.6367 0.0000
2.4797 3.6367 0.0000
0.0000 0.0000 7.2208
Ag Se
4 2
Direct
0.1494 0.8506 0.8598
0.3506 0.6494 0.3598
0.6494 0.3506 0.6402
0.8506 0.1494 0.1402
0.0000 0.0000 0.5000
0.5000 0.5000 0.0000
```

Record 9
Theoretical powder XRD pattern
Compound: Ho2SeOF2
Radiation: Cu Kα (weighted mean of Kα1 and Kα2)
Structure: a cell relaxed with PBE

Main lines, in order of rising 2θ (15 to 90 degrees two-theta):
- 2θ = 27.76°, 3.214 Å, rel. 100
- 2θ = 31.49°, 2.841 Å, rel. 99
- 2θ = 33.38°, 2.684 Å, rel. 75
- 2θ = 36.05°, 2.491 Å, rel. 42
- 2θ = 36.91°, 2.435 Å, rel. 39
- 2θ = 48.18°, 1.889 Å, rel. 29
- 2θ = 48.79°, 1.866 Å, rel. 29
- 2θ = 49.10°, 1.855 Å, rel. 43
- 2θ = 55.29°, 1.662 Å, rel. 39
- 2θ = 57.07°, 1.614 Å, rel. 28

Structural model:
```
Ho2SeOF2
1.0
13.3802 0.0000 0.0000
-6.6901 11.5876 0.0000
0.0000 0.0000 3.7327
Ho Se O F
12 6 6 12
Direct
0.0550 0.2882 0.2500
0.1162 0.6019 0.2500
0.2332 0.9450 0.2500
0.2882 0.2332 0.7500
0.3981 0.5143 0.2500
0.4857 0.8838 0.2500
0.5143 0.1162 0.7500
0.6019 0.4857 0.7500
0.7118 0.7668 0.2500
0.7668 0.0550 0.7500
0.8838 0.3981 0.7500
0.9450 0.7118 0.7500
0.2065 0.4873 0.7500
0.2808 0.7935 0.7500
0.4873 0.2808 0.2500
0.5127 0.7192 0.7500
0.7192 0.2065 0.2500
0.7935 0.5127 0.2500
0.0142 0.5879 0.7500
0.4121 0.4263 0.7500
0.4263 0.0142 0.2500
0.5737 0.9858 0.7500
0.5879 0.5737 0.2500
0.9858 0.4121 0.2500
0.0666 0.7527 0.2500
0.1003 0.2050 0.7500
0.1046 0.8997 0.7500
0.2050 0.1046 0.2500
0.2473 0.3139 0.2500
0.3139 0.0666 0.7500
0.6861 0.9334 0.2500
0.7527 0.6861 0.7500
0.7950 0.8954 0.7500
0.8954 0.1003 0.2500
0.8997 0.7950 0.2500
0.9334 0.2473 0.7500
```